# Mn3SnO8
Calculated powder XRD pattern, copper Kα. Input: the PBE+U geometry in Alexandria.
Lines closer than 0.1° are merged.

Cell and atoms:
```
Mn3SnO8
1.0
2.9160 1.6836 5.1349
-2.9160 1.6836 5.1349
0.0000 -3.3672 5.1349
Mn Sn O
3 1 8
Cartesian
-1.4580 -0.8418 5.1349
-1.4580 0.8418 10.2697
0.0000 1.6836 5.1348
0.0000 0.0000 7.7023
0.0000 -1.5299 6.2390
-1.3249 0.7649 6.2390
0.0000 0.0000 4.1559
-1.3249 -0.7649 9.1655
1.3249 0.7649 6.2390
0.0000 0.0000 11.2486
1.3249 -0.7649 9.1655
0.0000 1.5299 9.1655
```

Largest 6 diffraction maxima, low angle first, 5° ≤ 2θ ≤ 70°:
2theta	intensity
18.49	100
34.09	17
35.40	31
42.82	49
60.46	14
63.84	13